[1]
Starting from DFT lattice parameters and positions (PBE), the powder X-ray diffraction pattern of TiCrSi4 was calculated for Cu Ka.
Peak positions follow from Bragg's law for the DFT cell and can differ from measured ones.

Principal peaks in the range 2θ from 5° to 70°, in order of falling intensity:
42.3 deg, intensity 100; 41.4 deg, intensity 95; 41.6 deg, intensity 94; 41.8 deg, intensity 93; 48.8 deg, intensity 60; 48.6 deg, intensity 57; 48.5 deg, intensity 56; 26.2 deg, intensity 31; 38.9 deg, intensity 16; 26.4 deg, intensity 15

Cell and atoms:
Unit cell a=4.596 b=12.823 c=4.614 alpha=90.00 beta=119.57 gamma=90.00
Element x y z (fractional)
Ti (0.000, 0.000, 0.000)
Ti (0.000, 0.497, 0.000)
Ti (0.500, 0.664, 0.000)
Cr (0.000, 0.330, 0.500)
Cr (0.000, 0.834, 0.500)
Cr (0.500, 0.164, 0.000)
Si (0.172, 0.167, 0.342)
Si (0.179, 0.668, 0.343)
Si (0.335, 0.494, 0.657)
Si (0.335, 0.832, 0.171)
Si (0.341, 0.329, 0.170)
Si (0.341, 0.999, 0.662)
Si (0.659, 0.329, 0.830)
Si (0.659, 0.999, 0.338)
Si (0.665, 0.494, 0.343)
Si (0.665, 0.832, 0.829)
Si (0.821, 0.668, 0.657)
Si (0.828, 0.167, 0.658)


[2]
Starting from DFT lattice parameters and positions (PBE), the powder X-ray diffraction pattern of Ti3Cr3Si5 was calculated for Cu Ka.
Peak positions follow from Bragg's law for the DFT cell and can differ from measured ones.

Principal peaks in the range 2θ from 5° to 70°, in order of falling intensity:
42.8 deg, intensity 100; 41.4 deg, intensity 60; 44.5 deg, intensity 55; 42.1 deg, intensity 53; 41.9 deg, intensity 48; 41.6 deg, intensity 47; 40.7 deg, intensity 32; 40.5 deg, intensity 29; 39.5 deg, intensity 27; 39.7 deg, intensity 26

Cell and atoms:
Unit cell a=9.106 b=9.106 c=7.554 alpha=114.08 beta=114.08 gamma=30.79
Element x y z (fractional)
Ti (0.066, 0.066, 0.309)
Ti (0.141, 0.141, 0.746)
Ti (0.357, 0.357, 0.474)
Ti (0.643, 0.643, 0.526)
Ti (0.859, 0.859, 0.254)
Ti (0.934, 0.934, 0.691)
Cr (0.055, 0.562, 0.809)
Cr (0.438, 0.945, 0.191)
Cr (0.439, 0.439, 0.186)
Cr (0.561, 0.561, 0.814)
Cr (0.562, 0.055, 0.809)
Cr (0.945, 0.438, 0.191)
Si (0.068, 0.068, 0.977)
Si (0.217, 0.217, 0.512)
Si (0.256, 0.744, 0.500)
Si (0.289, 0.289, 0.083)
Si (0.435, 0.435, 0.858)
Si (0.565, 0.565, 0.142)
Si (0.711, 0.711, 0.917)
Si (0.744, 0.256, 0.500)
Si (0.783, 0.783, 0.488)
Si (0.932, 0.932, 0.023)


[3]
Starting from DFT lattice parameters and positions (PBE), the powder X-ray diffraction pattern of U2Cr3Si was calculated for Cu Ka.
Peak positions follow from Bragg's law for the DFT cell and can differ from measured ones.

Principal peaks in the range 2θ from 5° to 70°, in order of falling intensity:
39.2 deg, intensity 100; 35.0 deg, intensity 63; 42.3 deg, intensity 47; 22.9 deg, intensity 44; 65.6 deg, intensity 43; 20.0 deg, intensity 41; 41.8 deg, intensity 37; 40.7 deg, intensity 18; 53.6 deg, intensity 15; 62.9 deg, intensity 12

Cell and atoms:
Unit cell a=5.121 b=5.121 c=8.062 alpha=90.00 beta=90.00 gamma=120.00
Element x y z (fractional)
U (0.333, 0.667, 0.086)
U (0.333, 0.667, 0.414)
U (0.667, 0.333, 0.586)
U (0.667, 0.333, 0.914)
Cr (0.172, 0.345, 0.750)
Cr (0.172, 0.828, 0.750)
Cr (0.345, 0.172, 0.250)
Cr (0.655, 0.828, 0.750)
Cr (0.828, 0.172, 0.250)
Cr (0.828, 0.655, 0.250)
Si (0.000, 0.000, 0.000)
Si (0.000, 0.000, 0.500)


[4]
Starting from DFT lattice parameters and positions (PBE), the powder X-ray diffraction pattern of U4Cr7Si was calculated for Cu Ka.
Peak positions follow from Bragg's law for the DFT cell and can differ from measured ones.

Principal peaks in the range 2θ from 5° to 70°, in order of falling intensity:
38.8 deg, intensity 100; 35.6 deg, intensity 68; 42.0 deg, intensity 67; 66.0 deg, intensity 42; 42.8 deg, intensity 38; 20.3 deg, intensity 34; 23.0 deg, intensity 27; 29.8 deg, intensity 19; 41.3 deg, intensity 16; 68.3 deg, intensity 16

Cell and atoms:
Unit cell a=5.047 b=5.047 c=8.221 alpha=90.00 beta=90.00 gamma=120.00
Element x y z (fractional)
U (0.333, 0.667, 0.067)
U (0.333, 0.667, 0.430)
U (0.667, 0.333, 0.570)
U (0.667, 0.333, 0.933)
Cr (0.000, 0.000, 0.500)
Cr (0.169, 0.338, 0.752)
Cr (0.169, 0.831, 0.752)
Cr (0.338, 0.169, 0.248)
Cr (0.662, 0.831, 0.752)
Cr (0.831, 0.169, 0.248)
Cr (0.831, 0.662, 0.248)
Si (0.000, 0.000, 0.000)